For CsNpMoO6, a structure optimized by DFT (PBE+U) gives the simulated X-ray diffraction stick pattern in this record (Cu Kα (λ = 1.5418 Å)).
No peak broadening, texture or thermal motion is included.

Cell and atoms:
```
CsNpMoO6
1.0
7.6428 0.0000 0.0000
0.0000 8.7620 0.0000
-2.5725 0.0000 10.3670
Cs Np Mo O
4 4 4 24
direct
0.0431 0.2367 0.3603
0.0431 0.2633 0.8603
0.9569 0.7367 0.1397
0.9569 0.7633 0.6397
0.4872 0.0128 0.1755
0.4872 0.4872 0.6755
0.5128 0.5128 0.3245
0.5128 0.9872 0.8245
0.3872 0.6480 0.9425
0.3872 0.8520 0.4425
0.6128 0.1480 0.5575
0.6128 0.3520 0.0575
0.1552 0.6385 0.9278
0.1552 0.8615 0.4278
0.2448 0.0452 0.1251
0.2448 0.4548 0.6251
0.2703 0.0154 0.7701
0.2703 0.4846 0.2701
0.4424 0.7137 0.7816
0.4424 0.7863 0.2816
0.4614 0.0617 0.3906
0.4614 0.4383 0.8906
0.4751 0.6492 0.5084
0.4751 0.8508 0.0084
0.5249 0.1492 0.9916
0.5249 0.3508 0.4916
0.5386 0.5617 0.1094
0.5386 0.9383 0.6094
0.5576 0.2137 0.7184
0.5576 0.2863 0.2184
0.7297 0.5154 0.7299
0.7297 0.9846 0.2299
0.7552 0.5452 0.3749
0.7552 0.9548 0.8749
0.8448 0.1385 0.5722
0.8448 0.3615 0.0722
```

The 8 most intense peaks (2θ = 10–90°), by angle:
- 2θ = 11.93°, d = 7.418 Å, intensity 100
- 2θ = 23.58°, d = 3.772 Å, intensity 90
- 2θ = 23.99°, d = 3.709 Å, intensity 53
- 2θ = 25.34°, d = 3.515 Å, intensity 35
- 2θ = 27.49°, d = 3.245 Å, intensity 33
- 2θ = 27.70°, d = 3.221 Å, intensity 89
- 2θ = 40.79°, d = 2.212 Å, intensity 20
- 2θ = 41.94°, d = 2.154 Å, intensity 33